For BaVCdF7, a crystal structure in Alexandria, relaxed with PBE+U gives the theoretical powder diffractogram in this record (Cu Ka).
Neutral-atom scattering factors, no anomalous dispersion.

Top 12 peaks for 10 to 90 degrees two-theta, by angle:
two_theta  I/Imax
24.9  1000
26.0  251
26.6  247
28.8  427
29.1  301
32.6  203
40.3  166
42.2  139
42.5  365
43.5  186
53.6  168
54.5  134

Cell and atoms:
```
BaVCdF7
1.0
7.0660 -2.7506 0.0000
7.0660 2.7506 0.0000
-0.4049 0.0000 15.4188
Ba V Cd F
4 4 4 28
Cartesian
2.6148 0.2127 1.9557
2.4124 -0.2127 9.6651
11.3148 0.2127 5.7537
11.1124 -0.2127 13.4631
1.3949 0.0671 13.4959
1.5973 -0.0671 5.7865
12.1298 0.0671 9.6323
12.3323 -0.0671 1.9229
6.9648 0.2094 3.8547
7.0660 0.0000 0.0000
6.8636 0.0000 7.7094
6.7624 -0.2094 11.5641
4.6270 1.5397 3.4438
5.5950 1.8625 7.9574
6.8533 2.0723 5.3127
7.0763 2.0723 2.3967
5.0653 1.2792 10.8652
5.0776 1.0840 0.7358
3.4268 0.3650 6.2259
7.9298 1.8625 15.1708
3.2244 -0.3650 13.9353
5.8986 0.6100 13.4533
9.3026 1.5397 4.2656
8.4594 1.2792 12.2630
8.8520 1.0840 6.9736
7.6261 0.6100 9.6749
6.1010 -0.6100 5.7439
4.8752 -1.0840 8.4452
5.2678 -1.2792 3.1558
4.4245 -1.5397 11.1532
7.8285 -0.6100 1.9655
10.5027 0.3650 1.4835
5.7974 -1.8625 0.2480
10.3003 -0.3650 9.1929
8.6495 -1.0840 14.6830
8.6618 -1.2792 4.5536
6.6508 -2.0723 13.0221
6.8739 -2.0723 10.1061
8.1322 -1.8625 7.4614
9.1002 -1.5397 11.9750
```